Theoretical X-ray diffraction stick pattern
Compound: Na2CuAuF6
Radiation: Cu Kα X-rays
Structure: a crystal structure in the Materials Project, relaxed with PBE
Neutral-atom scattering factors, no anomalous dispersion.

Largest 6 diffraction maxima, by angle, 2θ = 10–80°:
2θ (°)	intensity
18.2	35
21.1	100
29.9	96
42.9	43
48.2	44
53.2	39

Crystal structure
```
data_Na2CuAuF6
_symmetry_space_group_name_H-M 'F m -3 m'
_symmetry_Int_Tables_number 225
_symmetry_space_group_name_Hall '-F 4 2 3'
_cell_length_a 8.439
_cell_length_b 8.439
_cell_length_c 8.439
_cell_angle_alpha 90.00
_cell_angle_beta 90.00
_cell_angle_gamma 90.00
loop_
_atom_site_label
_atom_site_type_symbol
_atom_site_fract_x
_atom_site_fract_y
_atom_site_fract_z
Na1 Na 0.250 0.250 0.250
Cu1 Cu 0.000 0.000 0.000
Au1 Au 0.000 0.000 0.500
F1 F 0.000 0.000 0.235
```

Theoretical X-ray diffraction stick pattern
Compound: LiCuAu2
Radiation: Cu Kα X-rays
Structure: a crystal structure in the Materials Project, relaxed with PBE
Neutral-atom scattering factors, no anomalous dispersion.

Largest 6 diffraction maxima, by angle, 2θ = 10–80°:
2θ (°)	intensity
28.6	60
41.0	100
50.7	17
59.3	17
67.2	23
74.6	34

Crystal structure
```
data_LiCuAu2
_symmetry_space_group_name_H-M 'F m -3 m'
_symmetry_Int_Tables_number 225
_symmetry_space_group_name_Hall '-F 4 2 3'
_cell_length_a 6.232
_cell_length_b 6.232
_cell_length_c 6.232
_cell_angle_alpha 90.00
_cell_angle_beta 90.00
_cell_angle_gamma 90.00
loop_
_atom_site_label
_atom_site_type_symbol
_atom_site_fract_x
_atom_site_fract_y
_atom_site_fract_z
Li1 Li 0.000 0.000 0.000
Cu1 Cu 0.000 0.000 0.500
Au1 Au 0.250 0.250 0.250
```